PmCrF6: computed powder diffractogram (Cu Kα), based on a DFT-relaxed cell (GGA+U, Alexandria).

Principal peaks in the range 2θ from 10° to 90°, in order of falling intensity:
d [Å]	2theta	I_rel	h k l
4.037	22.02	100	1 1 0
2.934	30.47	27	1 1 2
1.846	49.37	21	1 2 -1
2.019	44.90	18	0 2 2
2.423	37.11	17	2 1 0
2.782	32.18	16	2 1 1
4.581	19.38	15	1 1 1
1.769	51.66	10	-1 2 1
1.636	56.24	6	1 3 0
2.293	39.30	6	0 2 0

Cell and atoms:
Lattice parameters (Å, degrees): 5.5541 5.5652 5.8784 61.90 61.92 60.12
Positions (direct):
Pm  0.0000  0.0000  0.0000
Cr  0.5000  0.5000  0.5000
F  0.1665  0.7278  0.7300
F  0.2719  0.6232  0.2698
F  0.3760  0.1665  0.7313
F  0.6240  0.8335  0.2687
F  0.7281  0.3768  0.7302
F  0.8335  0.2722  0.2700